1.
This entry pairs a crystal structure of U5Re3C8 with its calculated X-ray powder pattern. Radiation: a wavelength of 1.5418 Å. Structure: the PBE geometry in the Materials Project.

Principal peaks in the range 2θ from 10° to 90°, by intensity:
2θ = 35.45°, d 2.532, I 100.0; 2θ = 31.46°, d 2.844, I 39.7; 2θ = 32.45°, d 2.759, I 35.8; 2θ = 32.63°, d 2.744, I 16.9; 2θ = 39.76°, d 2.267, I 16.2; 2θ = 61.66°, d 1.504, I 15.8

Structure:
```
U5Re3C8
1.0
11.3745 0.0000 0.0000
0.0000 11.3745 0.0000
0.0000 0.0000 3.2594
U Re C
10 6 16
Cartesian
0.0000 5.6873 0.0000
0.4905 2.5922 1.6297
2.5922 10.8840 1.6297
3.0951 5.1968 1.6297
5.1968 8.2795 1.6297
5.6873 0.0000 0.0000
6.1778 3.0951 1.6297
8.2795 6.1778 1.6297
8.7823 0.4905 1.6297
10.8840 8.7823 1.6297
0.0000 0.0000 0.0000
2.3095 7.9968 0.0000
3.3778 2.3095 0.0000
5.6873 5.6873 0.0000
7.9968 9.0650 0.0000
9.0650 3.3778 0.0000
1.1074 9.6407 0.0000
1.3226 7.0098 1.6297
1.7338 1.1074 0.0000
1.7446 3.9427 0.0000
3.9427 9.6299 0.0000
3.9534 6.7947 0.0000
4.3647 1.3226 1.6297
4.5799 3.9534 0.0000
6.7947 7.4211 0.0000
7.0098 10.0519 1.6297
7.4211 4.5799 0.0000
7.4318 1.7446 0.0000
9.6299 7.4318 0.0000
9.6407 10.2671 0.0000
10.0519 4.3647 1.6297
10.2671 1.7338 0.0000
```

=====

2.
This entry pairs a crystal structure of Lu5Ni2Bi with its calculated X-ray powder pattern. Radiation: a wavelength of 1.5418 Å. Structure: the PBE geometry in the Materials Project.

Principal peaks in the range 2θ from 10° to 90°, by intensity:
2θ = 33.29°, d 2.692, I 100.0; 2θ = 38.43°, d 2.343, I 85.1; 2θ = 35.49°, d 2.529, I 65.5; 2θ = 30.96°, d 2.888, I 60.6; 2θ = 27.69°, d 3.222, I 40.5; 2θ = 59.27°, d 1.559, I 34.0

Structure:
```
Lu5Ni2Bi
1.0
-3.7040 3.7040 6.9241
3.7040 -3.7040 6.9241
3.7040 3.7040 -6.9241
Lu Ni Bi
10 4 2
Cartesian
0.0000 0.0000 0.0000
4.8764 1.1724 -1.8339
1.1724 2.5316 -1.8339
4.8764 1.1724 1.8339
1.1724 2.5316 1.8339
0.0000 0.0000 6.9241
2.5316 1.1724 5.0902
-1.1724 2.5316 5.0902
2.5316 1.1724 8.7581
-1.1724 2.5316 8.7581
2.7387 0.9653 0.0000
2.7387 -0.9653 6.9241
0.9653 4.6693 0.0000
0.9653 2.7387 6.9241
0.0000 0.0000 3.4621
0.0000 0.0000 10.3862
```

=====

3.
This entry pairs a crystal structure of LuO3 with its calculated X-ray powder pattern. Radiation: a wavelength of 1.5418 Å. Structure: the PBE geometry in the Materials Project.

Principal peaks in the range 2θ from 10° to 90°, by intensity:
2θ = 29.91°, d 2.988, I 100.0; 2θ = 50.44°, d 1.809, I 47.2; 2θ = 22.58°, d 3.938, I 38.3; 2θ = 39.64°, d 2.274, I 33.5; 2θ = 65.98°, d 1.416, I 24.8; 2θ = 57.04°, d 1.614, I 24.1

Structure:
```
LuO3
1.0
4.5477 0.0000 0.0000
-2.2739 3.9384 0.0000
0.0000 0.0000 4.5855
Lu O
2 6
Cartesian
0.0000 2.6256 1.1464
2.2739 1.3128 3.4391
0.0000 1.3992 3.4391
-1.0622 3.2389 3.4391
1.2117 0.6996 1.1464
1.0622 3.2389 3.4391
3.3360 0.6996 1.1464
2.2739 2.5393 1.1464
```

=====

4.
This entry pairs a crystal structure of Cs2CuBiI6 with its calculated X-ray powder pattern. Radiation: a wavelength of 1.5418 Å. Structure: the PBE geometry in the Materials Project.

Principal peaks in the range 2θ from 10° to 90°, by intensity:
2θ = 29.86°, d 2.993, I 100.0; 2θ = 42.73°, d 2.116, I 73.6; 2θ = 25.78°, d 3.456, I 64.0; 2θ = 70.34°, d 1.338, I 32.1; 2θ = 50.58°, d 1.805, I 27.6; 2θ = 53.00°, d 1.728, I 25.6

Structure:
```
Cs2CuBiI6
1.0
0.0000 5.9854 5.9854
5.9854 0.0000 5.9854
5.9854 5.9854 0.0000
Cs Cu Bi I
2 1 1 6
Cartesian
2.9927 2.9927 2.9927
8.9781 8.9781 8.9781
0.0000 0.0000 0.0000
5.9854 5.9854 5.9854
5.9854 5.9854 2.8710
5.9854 2.8710 5.9854
9.0998 5.9854 5.9854
2.8710 5.9854 5.9854
5.9854 9.0998 5.9854
5.9854 5.9854 9.0998
```

=====

5.
This entry pairs a crystal structure of Te4Mo3WSe2S2 with its calculated X-ray powder pattern. Radiation: a wavelength of 1.5418 Å. Structure: the PBE geometry in the Materials Project.

Principal peaks in the range 2θ from 10° to 90°, by intensity:
2θ = 35.71°, d 2.514, I 100.0; 2θ = 11.43°, d 7.740, I 99.7; 2θ = 30.40°, d 2.940, I 59.9; 2θ = 43.23°, d 2.093, I 55.9; 2θ = 53.98°, d 1.699, I 34.4; 2θ = 38.43°, d 2.342, I 20.2

Structure:
```
Te4Mo3WSe2S2
1.0
3.3980 0.0000 0.0000
-1.6990 2.9428 0.0000
0.0000 0.0000 38.6976
Te Mo W Se S
4 3 1 2 2
Cartesian
0.0000 0.0000 0.0000
0.0000 0.0000 3.7483
0.0000 1.9618 16.8872
0.0000 1.9618 20.6359
0.0000 0.0000 18.7602
0.0000 1.9618 1.8753
0.0000 1.9618 26.0304
0.0000 0.0000 33.3000
0.0000 1.9618 31.6429
0.0000 1.9618 34.9568
0.0000 0.0000 24.5289
0.0000 0.0000 27.5324
```